# DyPuHSe2
Theoretical PXRD pattern, Cu Kα. Input: DFT lattice parameters and positions (PBE).
Kinematic intensities with the Lorentz-polarization factor, no thermal factor.

Crystal structure
```
DyPuHSe2
1.0
4.0482 0.0000 0.0000
0.0000 4.0482 0.0000
0.0000 0.0000 12.5212
Dy Pu H Se
2 2 2 4
direct
0.2500 0.2500 0.1100 Dy
0.7500 0.7500 0.8900 Dy
0.2500 0.2500 0.5928 Pu
0.7500 0.7500 0.4072 Pu
0.2500 0.7500 0.5000 H
0.7500 0.2500 0.5000 H
0.2500 0.2500 0.3362 Se
0.2500 0.2500 0.8754 Se
0.7500 0.7500 0.1246 Se
0.7500 0.7500 0.6638 Se
```

Principal peaks in the range 2θ = 10–90°, most intense first:
2θ 31.25, I = 100, hkl 1 1 0
2θ 42.81, I = 53, hkl 1 1 4
2θ 26.21, I = 49, hkl 1 0 2
2θ 28.51, I = 39, hkl 0 0 4
2θ 36.28, I = 38, hkl 1 0 4
2θ 44.77, I = 38, hkl 2 0 0
2θ 81.21, I = 32, hkl 3 1 4
2θ 53.94, I = 27, hkl 2 0 4
2θ 58.94, I = 20, hkl 2 1 4
2θ 74.06, I = 17, hkl 3 1 0